Diffraction record for CeB2Rh2C. The powder diffraction line list is calculated, not measured: it uses the GGA-PBE geometry in the Materials Project and Cu Kα, 1.54184 Å.
Peak positions follow from Bragg's law for the DFT cell and can differ from measured ones.

Peak list (12 most intense, 10 to 80 degrees two-theta, sorted by position)
- 2θ 17.38, d 5.103, intensity 6
- 2θ 24.65, d 3.611, intensity 31
- 2θ 35.16, d 2.552, intensity 47
- 2θ 37.35, d 2.407, intensity 100
- 2θ 47.07, d 1.931, intensity 28
- 2θ 50.57, d 1.805, intensity 7
- 2θ 53.85, d 1.703, intensity 8
- 2θ 60.10, d 1.540, intensity 31
- 2θ 64.55, d 1.444, intensity 21
- 2θ 68.78, d 1.365, intensity 11
- 2θ 74.33, d 1.276, intensity 5
- 2θ 79.65, d 1.204, intensity 12

Atomic structure:
a b c (Å): 3.861 3.861 10.207
angles (deg): 90.00 90.00 90.00
Space group I4/mmm (No. 139)
One atom of each set of equivalent atoms:
1 Ce 0.000 0.000 0.000 x2
2 B 0.000 0.000 0.353 x4
3 Rh 0.000 0.500 0.250 x4
4 C 0.000 0.000 0.500 x2